Simulated XRD peak list of UAl2Zn9 for Cu Ka, from the GGA-PBE geometry in Alexandria.

Structure:
Cell lengths 10.5694, 10.5694, 6.9817 Å; angles 90.00, 90.00, 90.00 degrees
Space group I4_1/amd (No. 141, origin choice 2)
Asymmetric unit:
U 0.0000 0.2500 0.3750
Al 0.0000 0.0000 0.0000
Zn 0.0000 0.2500 0.8750
Zn 0.1207 0.0456 0.6708

Main lines, in order of falling intensity (2θ from 5° to 70°):
(3 1 2), 37.2°, d 2.414, intensity 100
(4 2 0), 38.1°, d 2.363, intensity 62
(3 2 1), 33.1°, d 2.703, intensity 30
(5 5 2), 68.3°, d 1.374, intensity 30
(1 0 3), 39.7°, d 2.273, intensity 23
(5 3 2), 57.3°, d 1.608, intensity 23
(1 0 1), 15.2°, d 5.826, intensity 22
(1 1 2), 28.2°, d 3.163, intensity 18
(4 1 1), 37.4°, d 2.406, intensity 17
(2 2 0), 23.8°, d 3.737, intensity 16

=====

Simulated XRD peak list of TmB4Rh4 for Cu Ka, from the GGA-PBE geometry in Alexandria.

Structure:
Cell lengths 5.3237, 5.3237, 7.4384 Å; angles 90.00, 90.00, 90.00 degrees
Space group P4_2/nmc (No. 137, origin choice 2)
Asymmetric unit:
Tm 0.2500 0.7500 0.2500
B 0.0815 0.2500 0.1020
Rh 0.0013 0.7500 0.6038

Main lines, in order of falling intensity (2θ from 5° to 70°):
(2 1 1), 39.8°, d 2.267, intensity 100
(1 0 3), 40.1°, d 2.248, intensity 73
(2 0 1), 35.8°, d 2.506, intensity 72
(1 0 2), 29.3°, d 3.049, intensity 39
(2 1 2), 45.2°, d 2.005, intensity 31
(1 1 2), 33.9°, d 2.646, intensity 25
(1 1 0), 23.6°, d 3.764, intensity 24
(3 2 1), 64.3°, d 1.448, intensity 23
(3 0 3), 64.6°, d 1.443, intensity 19
(2 2 2), 54.7°, d 1.679, intensity 17

=====

Simulated XRD peak list of Cs2TlPO4 for Cu Ka, from the GGA-PBE geometry in Alexandria.

Structure:
Cell lengths 6.3330, 11.7511, 24.5710 Å; angles 90.00, 90.00, 90.00 degrees
Space group Fddd (No. 70, origin choice 2)
Asymmetric unit:
Cs 0.1250 0.1250 0.3106
Tl 0.1250 0.1250 0.1250
P 0.1250 0.1250 0.6250
O 0.0169 0.2952 0.8390

Main lines, in order of falling intensity (2θ from 5° to 70°):
(0 2 6), 26.5°, d 3.360, intensity 100
(1 1 5), 24.1°, d 3.686, intensity 86
(1 1 1), 16.3°, d 5.437, intensity 80
(0 0 4), 14.4°, d 6.143, intensity 78
(2 2 0), 32.1°, d 2.787, intensity 75
(1 3 5), 32.5°, d 2.757, intensity 63
(1 1 11), 43.7°, d 2.072, intensity 44
(2 0 6), 35.8°, d 2.505, intensity 43
(0 4 0), 30.4°, d 2.938, intensity 39
(1 3 1), 27.0°, d 3.301, intensity 39

=====

Simulated XRD peak list of PmNd6Cd for Cu Ka, from the GGA-PBE geometry in Alexandria.

Structure:
Cell lengths 5.0597, 5.0597, 10.3199 Å; angles 90.00, 90.00, 90.00 degrees
Space group P4/mmm (No. 123)
Asymmetric unit:
Pm 0.0000 0.0000 0.0000
Nd 0.0000 0.5000 0.2566
Nd 0.5000 0.5000 0.0000
Nd 0.5000 0.5000 0.5000
Cd 0.0000 0.0000 0.5000

Main lines, in order of falling intensity (2θ from 5° to 70°):
(1 1 2), 30.4°, d 2.940, intensity 100
(2 0 0), 35.5°, d 2.530, intensity 33
(3 1 2), 60.6°, d 1.528, intensity 28
(2 0 4), 50.5°, d 1.806, intensity 24
(0 0 4), 34.8°, d 2.580, intensity 17
(1 1 6), 59.6°, d 1.550, intensity 14
(2 2 0), 51.1°, d 1.789, intensity 12
(2 2 4), 63.3°, d 1.470, intensity 12

=====

Simulated XRD peak list of CaTb3S4 for Cu Ka, from the GGA-PBE geometry in Alexandria.

Structure:
Cell lengths 5.5681, 5.5681, 11.1782 Å; angles 90.00, 90.00, 90.00 degrees
Space group I4/mmm (No. 139)
Asymmetric unit:
Ca 0.0000 0.0000 0.0000
Tb 0.0000 0.0000 0.5000
Tb 0.0000 0.5000 0.2500
S 0.0000 0.0000 0.2482
S 0.0000 0.5000 0.0000

Main lines, in order of falling intensity (2θ from 5° to 70°):
(2 2 0), 46.0°, d 1.971, intensity 100
(2 0 0), 32.2°, d 2.784, intensity 93
(1 1 2), 27.7°, d 3.219, intensity 92
(0 0 4), 32.0°, d 2.795, intensity 47
(2 2 4), 57.2°, d 1.609, intensity 34
(3 1 2), 54.6°, d 1.679, intensity 30
(1 0 1), 17.8°, d 4.984, intensity 24
(1 1 6), 54.5°, d 1.684, intensity 15
(4 0 0), 67.3°, d 1.392, intensity 11
(2 1 1), 37.0°, d 2.431, intensity 8

=====

Simulated XRD peak list of PmMgPd3 for Cu Ka, from the GGA-PBE geometry in Alexandria.

Structure:
Cell lengths 4.1686, 4.1686, 11.8007 Å; angles 90.00, 90.00, 90.00 degrees
Space group I4mm (No. 107)
Asymmetric unit:
Pm 0.0000 0.0000 0.0000
Mg 0.0000 0.0000 0.6722
Pd 0.0000 0.0000 0.4578
Pd 0.0000 0.5000 0.3062

Main lines, in order of falling intensity (2θ from 5° to 70°):
(1 1 2), 34.0°, d 2.637, intensity 100
(2 0 0), 43.4°, d 2.085, intensity 79
(0 0 2), 15.0°, d 5.900, intensity 38
(0 0 6), 46.2°, d 1.966, intensity 19
(2 0 6), 65.2°, d 1.430, intensity 18
(0 0 4), 30.3°, d 2.950, intensity 14
(2 2 0), 63.1°, d 1.474, intensity 13
(1 0 3), 31.3°, d 2.861, intensity 12
(2 0 4), 53.9°, d 1.702, intensity 10
(1 0 5), 44.1°, d 2.054, intensity 8

=====

Simulated XRD peak list of Er2FeSi4 for Cu Ka, from the GGA-PBE geometry in Alexandria.

Structure:
Cell lengths 3.9782, 3.9860, 15.9912 Å; angles 90.00, 90.00, 90.00 degrees
Space group Amm2 (No. 38)
Asymmetric unit:
Er 0.0000 0.0000 0.0000
Er 0.5000 0.0000 0.2183
Fe 0.0000 0.0000 0.3576
Si 0.0000 0.0000 0.6455
Si 0.0000 0.0000 0.7978
Si 0.5000 0.0000 0.4147
Si 0.5000 0.0000 0.5644

Main lines, in order of falling intensity (2θ from 5° to 70°):
(0 1 5), 36.0°, d 2.491, intensity 100
(1 0 2), 25.0°, d 3.562, intensity 41
(2 0 0), 45.6°, d 1.991, intensity 31
(1 1 1), 32.3°, d 2.773, intensity 31
(0 1 1), 23.0°, d 3.868, intensity 26
(1 0 6), 40.8°, d 2.214, intensity 25
(0 0 4), 22.2°, d 3.998, intensity 17
(2 1 5), 59.4°, d 1.555, intensity 17
(1 2 6), 62.7°, d 1.481, intensity 14
(0 1 3), 28.0°, d 3.192, intensity 12

=====

Simulated XRD peak list of NaIn2Pb2 for Cu Ka, from the GGA-PBE geometry in Alexandria.

Structure:
Cell lengths 5.4541, 5.4541, 16.7249 Å; angles 90.00, 90.00, 120.00 degrees
Space group R-3m (No. 166, hexagonal axes)
Asymmetric unit:
Na 0.0000 0.0000 0.0000
In 0.0000 0.0000 0.1983
Pb 0.0000 0.0000 0.3995

Main lines, in order of falling intensity (2θ from 5° to 70°):
(1 1 0), 32.8°, d 2.728, intensity 100
(3 0 0), 58.6°, d 1.575, intensity 38
(1 0 1), 19.5°, d 4.546, intensity 20
(2 0 5), 47.1°, d 1.929, intensity 18
(2 2 0), 68.8°, d 1.364, intensity 12
(1 0 4), 28.5°, d 3.131, intensity 10
(1 1 6), 46.6°, d 1.949, intensity 4
(0 2 1), 38.5°, d 2.338, intensity 4
(2 1 1), 51.5°, d 1.775, intensity 4
(2 1 4), 56.0°, d 1.642, intensity 3